For Sr2VMoO6, a crystal structure in the Materials Project, relaxed with PBE+U gives the calculated powder X-ray diffraction pattern in this record (Cu Kα).
Intensities are scaled so that the largest is 100.

Crystal structure
```
Sr2VMoO6
1.0
5.666 0.000 0.000
-0.005 5.698 0.000
0.000 -0.002 7.915
Sr V Mo O
4 2 2 12
direct
0.000 0.003 0.230
0.000 0.997 0.770
0.500 0.497 0.230
0.500 0.503 0.770
0.000 0.500 0.000
0.500 0.000 0.000
0.000 0.500 0.500
0.500 0.000 0.500
0.010 0.547 0.238
0.249 0.249 0.472
0.250 0.250 0.017
0.250 0.750 0.975
0.251 0.749 0.543
0.490 0.953 0.238
0.510 0.047 0.762
0.749 0.251 0.457
0.750 0.250 0.025
0.750 0.750 0.983
0.751 0.751 0.528
0.990 0.453 0.762
```

Main lines, by angle (15° ≤ 2θ ≤ 90°):
2θ = 24.9°, rel. 10
2θ = 31.4°, rel. 25
2θ = 31.6°, rel. 26
2θ = 31.7°, rel. 100
2θ = 45.1°, rel. 38
2θ = 45.9°, rel. 15
2θ = 56.1°, rel. 21
2θ = 56.3°, rel. 19
2θ = 66.3°, rel. 18
2θ = 74.9°, rel. 13



For Sr2VMoO6, a crystal structure in the Materials Project, relaxed with PBE+U gives the calculated powder X-ray diffraction pattern in this record (Cu Kα).
Intensities are scaled so that the largest is 100.

Crystal structure
```
Sr2VMoO6
1.0
4.033 0.000 0.000
0.000 7.914 0.000
-0.016 0.000 8.051
Sr V Mo O
4 2 2 12
direct
0.000 0.246 0.247
0.000 0.246 0.753
0.000 0.754 0.247
0.000 0.754 0.753
0.500 0.000 0.000
0.500 0.500 0.500
0.500 0.000 0.500
0.500 0.500 0.000
0.000 0.000 0.000
0.000 0.000 0.500
0.000 0.500 0.000
0.000 0.500 0.500
0.497 0.500 0.751
0.500 0.000 0.249
0.500 0.000 0.751
0.500 0.236 0.000
0.500 0.247 0.500
0.500 0.753 0.500
0.500 0.764 0.000
0.503 0.500 0.249
```

Main lines, by angle (15° ≤ 2θ ≤ 90°):
2θ = 31.4°, rel. 51
2θ = 31.7°, rel. 100
2θ = 39.0°, rel. 11
2θ = 45.0°, rel. 38
2θ = 45.9°, rel. 18
2θ = 56.1°, rel. 29
2θ = 56.1°, rel. 10
2θ = 56.6°, rel. 19
2θ = 66.2°, rel. 21
2θ = 75.9°, rel. 8



For Sr2VMoO6, a crystal structure in the Materials Project, relaxed with PBE+U gives the calculated powder X-ray diffraction pattern in this record (Cu Kα).
Intensities are scaled so that the largest is 100.

Crystal structure
```
Sr2VMoO6
1.0
-3.991 3.991 4.006
3.991 -3.991 4.006
3.991 3.991 -4.006
Sr V Mo O
4 2 2 12
direct
0.000 0.000 0.500
0.000 0.500 0.000
0.500 0.000 0.000
0.500 0.500 0.500
0.000 0.500 0.500
0.500 0.000 0.500
0.000 0.000 0.000
0.500 0.500 0.000
0.000 0.251 0.251
0.000 0.749 0.749
0.237 0.500 0.737
0.241 0.241 0.000
0.250 0.750 0.500
0.251 0.000 0.251
0.500 0.237 0.737
0.500 0.763 0.263
0.749 0.000 0.749
0.750 0.250 0.500
0.759 0.759 0.000
0.763 0.500 0.263
```

Main lines, by angle (15° ≤ 2θ ≤ 90°):
2θ = 31.7°, rel. 100
2θ = 39.0°, rel. 7
2θ = 45.3°, rel. 12
2θ = 45.5°, rel. 24
2θ = 56.3°, rel. 13
2θ = 56.4°, rel. 25
2θ = 66.1°, rel. 14
2θ = 66.2°, rel. 7
2θ = 75.3°, rel. 11
2θ = 83.9°, rel. 7